Theoretical X-ray powder pattern
Compound: CrInClO4
Radiation: Cu Kα (λ = 1.5418 Å)
Structure: a structure optimized by DFT (GGA+U)
Neutral-atom scattering factors, no anomalous dispersion.

Top 8 peaks for 2θ from 10° to 90°, in order of falling intensity:
2theta, d_spacing, I/Imax
16.84, 5.266, 1000
25.48, 3.495, 869
19.64, 4.520, 685
31.66, 2.826, 582
21.87, 4.064, 526
22.79, 3.902, 411
30.02, 2.977, 294
48.96, 1.860, 250

```
CrInClO4
1.0
4.522 -3.495 0.000
4.522 3.495 0.000
-4.272 0.000 8.128
Cr In Cl O
2 2 2 8
Direct
0.191 0.191 0.333
0.809 0.809 0.667
0.454 0.454 0.778
0.546 0.546 0.222
0.291 0.291 0.941
0.709 0.709 0.059
0.116 0.733 0.757
0.242 0.242 0.533
0.267 0.884 0.243
0.366 0.366 0.316
0.634 0.634 0.684
0.733 0.116 0.757
0.758 0.758 0.467
0.884 0.267 0.243
```